# 1
Starting from a cell relaxed with PBE, the X-ray powder pattern of NpRuO5 was calculated for Cu Kα, 1.54184 Å.
Kinematic intensities with the Lorentz-polarization factor, no thermal factor.

Atomic structure:
Lattice parameters (Å, degrees): 3.6729 6.6389 7.8632 90.00 90.00 90.00
Space group Immm (No. 71)
Symmetry-distinct sites (fractional):
Np: 0.0000 0.0000 0.0000 x2
Ru: 0.0000 0.0000 0.5000 x2
O: 0.0000 0.0000 0.2432 x4
O: 0.0000 0.3065 0.5000 x4
O: 0.0000 0.5000 0.0000 x2

Most intense lines, 2θ from 10° to 90°, by intensity:
d [Å]  I/Imax  h k l
3.214  100  1 1 0
3.932  89  0 0 2
3.321  72  0 2 0
2.488  65  1 1 2
2.536  39  0 2 2
5.073  37  0 1 1

# 2
Starting from a cell relaxed with PBE, the X-ray powder pattern of Zr7N4O8 was calculated for Cu Kα, 1.54184 Å.
Kinematic intensities with the Lorentz-polarization factor, no thermal factor.

Atomic structure:
Lattice parameters (Å, degrees): 6.2715 6.2918 6.3735 99.74 99.26 99.21
Space group P1 (No. 1)
Symmetry-distinct sites (fractional):
Zr: 0.0000 0.0000 0.0000 x1
Zr: 0.0889 0.5744 0.2784 x1
Zr: 0.3048 0.1652 0.5508 x1
Zr: 0.3938 0.7408 0.7906 x1
Zr: 0.5457 0.2554 0.1106 x1
Zr: 0.6845 0.8825 0.4208 x1
Zr: 0.8235 0.4724 0.7265 x1
N: 0.2686 0.0514 0.8424 x1
N: 0.3603 0.8045 0.4709 x1
N: 0.6275 0.2119 0.4781 x1
N: 0.7636 0.7957 0.7318 x1
O: 0.0124 0.9685 0.3306 x1
O: 0.1131 0.4548 0.5894 x1
O: 0.1165 0.6806 0.9881 x1
O: 0.2630 0.3122 0.2322 x1
O: 0.5058 0.4415 0.8392 x1
O: 0.5995 0.9318 0.0891 x1
O: 0.7572 0.5647 0.2908 x1
O: 0.8612 0.2847 0.9811 x1

Most intense lines, 2θ from 10° to 90°, by intensity:
d [Å]  I/Imax  h k l
2.959  100  2 0 -1
3.002  52  0 1 -2
2.990  52  1 1 1
2.575  36  1 2 -1
1.822  30  0 3 1
2.585  17  -1 1 2